Theoretical XRD peak list
Compound: Mn2CrB
Radiation: Cu Kα (λ = 1.5418 Å)
Structure: a crystal structure in Alexandria, relaxed with PBE
No peak broadening, texture or thermal motion is included.

Cell and atoms:
a = 3.6883 Å, b = 3.6883 Å, c = 2.8579 Å
α = 90.00°, β = 90.00°, γ = 90.00°
Element x y z (fractional)
Mn: 0.0000 0.5000 0.0000
Mn: 0.5000 0.0000 0.0000
Cr: 0.0000 0.0000 0.5000
B: 0.5000 0.5000 0.5000

The 9 most intense peaks (2θ = 5–70°), low angle first:
2θ/deg, I (rel.)
24.1, 23
31.3, 7
34.4, 11
39.9, 12
47.2, 100
49.4, 43
55.7, 4
59.7, 4
65.3, 13

=====

Theoretical XRD peak list
Compound: CrB4Mo
Radiation: Cu Kα (λ = 1.5418 Å)
Structure: a crystal structure in Alexandria, relaxed with PBE
No peak broadening, texture or thermal motion is included.

Cell and atoms:
a = 3.0234 Å, b = 3.0234 Å, c = 6.3215 Å
α = 90.00°, β = 90.00°, γ = 120.00°
Element x y z (fractional)
Cr: 0.0000 0.0000 0.0000
B: 0.3333 0.6667 0.2363
B: 0.3333 0.6667 0.7637
B: 0.6667 0.3333 0.2363
B: 0.6667 0.3333 0.7637
Mo: 0.0000 0.0000 0.5000

The 10 most intense peaks (2θ = 5–70°), low angle first:
2θ/deg, I (rel.)
14.0, 18
28.2, 31
34.2, 74
37.2, 13
45.0, 100
56.0, 3
58.4, 8
61.3, 22
68.8, 15
69.5, 18

=====

Theoretical XRD peak list
Compound: CrBMo
Radiation: Cu Kα (λ = 1.5418 Å)
Structure: a crystal structure in Alexandria, relaxed with PBE
No peak broadening, texture or thermal motion is included.

Cell and atoms:
a = 10.3919 Å, b = 3.0619 Å, c = 6.1278 Å
α = 90.00°, β = 90.00°, γ = 90.00°
Element x y z (fractional)
Cr: 0.1213 0.0000 0.0695
Cr: 0.2500 0.0000 0.7007
Cr: 0.3787 0.0000 0.0695
Cr: 0.6213 0.0000 0.9305
Cr: 0.7500 0.0000 0.2993
Cr: 0.8787 0.0000 0.9305
B: 0.0885 0.0000 0.4452
B: 0.2500 0.5000 0.9482
B: 0.4115 0.0000 0.4452
B: 0.5885 0.0000 0.5548
B: 0.7500 0.5000 0.0518
B: 0.9115 0.0000 0.5548
Mo: 0.0472 0.5000 0.7294
Mo: 0.2500 0.5000 0.3507
Mo: 0.4528 0.5000 0.7294
Mo: 0.5472 0.5000 0.2706
Mo: 0.7500 0.5000 0.6493
Mo: 0.9528 0.5000 0.2706

The 10 most intense peaks (2θ = 5–70°), low angle first:
2θ/deg, I (rel.)
29.2, 31
29.6, 24
32.7, 20
37.6, 19
41.7, 32
42.1, 100
42.6, 26
45.4, 27
45.8, 39
60.5, 19

=====

Theoretical XRD peak list
Compound: CrBTeN2
Radiation: Cu Kα (λ = 1.5418 Å)
Structure: a crystal structure in Alexandria, relaxed with PBE
No peak broadening, texture or thermal motion is included.

Cell and atoms:
a = 3.5959 Å, b = 3.5959 Å, c = 5.5258 Å
α = 90.00°, β = 90.00°, γ = 90.00°
Element x y z (fractional)
Cr: 0.0000 0.0000 0.0000
B: 0.5000 0.5000 0.5000
Te: 0.0000 0.0000 0.5000
N: 0.0000 0.5000 0.0000
N: 0.5000 0.0000 0.0000

The 10 most intense peaks (2θ = 5–70°), low angle first:
2θ/deg, I (rel.)
24.8, 100
32.4, 40
35.3, 35
39.0, 23
41.2, 51
48.7, 28
50.8, 20
57.3, 19
61.5, 22
67.4, 23

=====

What did the first record say?
Theoretical XRD peak list
Compound: Mn2CrB
Radiation: Cu Kα (λ = 1.5418 Å)
Structure: a crystal structure in Alexandria, relaxed with PBE
No peak broadening, texture or thermal motion is included.

Cell and atoms:
a = 3.6883 Å, b = 3.6883 Å, c = 2.8579 Å
α = 90.00°, β = 90.00°, γ = 90.00°
Element x y z (fractional)
Mn: 0.0000 0.5000 0.0000
Mn: 0.5000 0.0000 0.0000
Cr: 0.0000 0.0000 0.5000
B: 0.5000 0.5000 0.5000

The 9 most intense peaks (2θ = 5–70°), low angle first:
2θ/deg, I (rel.)
24.1, 23
31.3, 7
34.4, 11
39.9, 12
47.2, 100
49.4, 43
55.7, 4
59.7, 4
65.3, 13

=====

What did the third record say?
Theoretical XRD peak list
Compound: CrBMo
Radiation: Cu Kα (λ = 1.5418 Å)
Structure: a crystal structure in Alexandria, relaxed with PBE
No peak broadening, texture or thermal motion is included.

Cell and atoms:
a = 10.3919 Å, b = 3.0619 Å, c = 6.1278 Å
α = 90.00°, β = 90.00°, γ = 90.00°
Element x y z (fractional)
Cr: 0.1213 0.0000 0.0695
Cr: 0.2500 0.0000 0.7007
Cr: 0.3787 0.0000 0.0695
Cr: 0.6213 0.0000 0.9305
Cr: 0.7500 0.0000 0.2993
Cr: 0.8787 0.0000 0.9305
B: 0.0885 0.0000 0.4452
B: 0.2500 0.5000 0.9482
B: 0.4115 0.0000 0.4452
B: 0.5885 0.0000 0.5548
B: 0.7500 0.5000 0.0518
B: 0.9115 0.0000 0.5548
Mo: 0.0472 0.5000 0.7294
Mo: 0.2500 0.5000 0.3507
Mo: 0.4528 0.5000 0.7294
Mo: 0.5472 0.5000 0.2706
Mo: 0.7500 0.5000 0.6493
Mo: 0.9528 0.5000 0.2706

The 10 most intense peaks (2θ = 5–70°), low angle first:
2θ/deg, I (rel.)
29.2, 31
29.6, 24
32.7, 20
37.6, 19
41.7, 32
42.1, 100
42.6, 26
45.4, 27
45.8, 39
60.5, 19

=====

What did the third record say?
Theoretical XRD peak list
Compound: CrBMo
Radiation: Cu Kα (λ = 1.5418 Å)
Structure: a crystal structure in Alexandria, relaxed with PBE
No peak broadening, texture or thermal motion is included.

Cell and atoms:
a = 10.3919 Å, b = 3.0619 Å, c = 6.1278 Å
α = 90.00°, β = 90.00°, γ = 90.00°
Element x y z (fractional)
Cr: 0.1213 0.0000 0.0695
Cr: 0.2500 0.0000 0.7007
Cr: 0.3787 0.0000 0.0695
Cr: 0.6213 0.0000 0.9305
Cr: 0.7500 0.0000 0.2993
Cr: 0.8787 0.0000 0.9305
B: 0.0885 0.0000 0.4452
B: 0.2500 0.5000 0.9482
B: 0.4115 0.0000 0.4452
B: 0.5885 0.0000 0.5548
B: 0.7500 0.5000 0.0518
B: 0.9115 0.0000 0.5548
Mo: 0.0472 0.5000 0.7294
Mo: 0.2500 0.5000 0.3507
Mo: 0.4528 0.5000 0.7294
Mo: 0.5472 0.5000 0.2706
Mo: 0.7500 0.5000 0.6493
Mo: 0.9528 0.5000 0.2706

The 10 most intense peaks (2θ = 5–70°), low angle first:
2θ/deg, I (rel.)
29.2, 31
29.6, 24
32.7, 20
37.6, 19
41.7, 32
42.1, 100
42.6, 26
45.4, 27
45.8, 39
60.5, 19